Entry 1:
Structure and computed X-ray powder pattern of Mn2AlNi3 (a cell relaxed with PBE; Cu Kα X-rays).
No peak broadening, texture or thermal motion is included.

abc: 4.1011 4.1011 10.0673
angles: 90.00 90.00 120.00
Fractional coordinates of all 12 atoms:
Mn: 0.0000 0.0000 0.0000
Mn: 0.0000 0.0000 0.5000
Mn: 0.3333 0.6667 0.1682
Mn: 0.6667 0.3333 0.8318
Al: 0.3333 0.6667 0.6662
Al: 0.6667 0.3333 0.3338
Ni: 0.0000 0.0000 0.2508
Ni: 0.0000 0.0000 0.7492
Ni: 0.3333 0.6667 0.4179
Ni: 0.3333 0.6667 0.9173
Ni: 0.6667 0.3333 0.0827
Ni: 0.6667 0.3333 0.5821

Most intense lines, 5 to 70 degrees two-theta, by angle:
2θ 8.8, I 1
2θ 26.6, I 2
2θ 30.8, I 4
2θ 44.1, I 100
2θ 52.3, I 1
2θ 54.8, I 1
2θ 64.2, I 15


Entry 2:
Structure and computed X-ray powder pattern of Pu5Ga4Rh (a cell relaxed with PBE; Cu Kα X-rays).
No peak broadening, texture or thermal motion is included.

abc: 3.8619 3.8619 12.5006
angles: 90.00 90.00 90.00
Fractional coordinates of all 10 atoms:
Pu: 0.0000 0.0000 0.0000
Pu: 0.0000 0.0000 0.1902
Pu: 0.0000 0.0000 0.3732
Pu: 0.0000 0.0000 0.6268
Pu: 0.0000 0.0000 0.8098
Ga: 0.5000 0.5000 0.0965
Ga: 0.5000 0.5000 0.2935
Ga: 0.5000 0.5000 0.7065
Ga: 0.5000 0.5000 0.9035
Rh: 0.5000 0.5000 0.5000

Most intense lines, 5 to 70 degrees two-theta, by angle:
2θ 23.0, I 56
2θ 32.8, I 100
2θ 35.9, I 6
2θ 43.1, I 74
2θ 47.1, I 37
2θ 49.4, I 10
2θ 49.7, I 9
2θ 53.0, I 13
2θ 65.7, I 43
2θ 68.8, I 12


Entry 3:
Structure and computed X-ray powder pattern of CeDy2TmTl4 (a cell relaxed with PBE; Cu Kα X-rays).
No peak broadening, texture or thermal motion is included.

abc: 9.4037 9.4037 9.4037
angles: 33.26 33.26 33.26
Fractional coordinates of all 8 atoms:
Ce: 0.0000 0.0000 0.0000
Dy: 0.2489 0.2489 0.2489
Dy: 0.7511 0.7511 0.7511
Tm: 0.5000 0.5000 0.5000
Tl: 0.1265 0.1265 0.1265
Tl: 0.3770 0.3770 0.3770
Tl: 0.6230 0.6230 0.6230
Tl: 0.8735 0.8735 0.8735

Most intense lines, 5 to 70 degrees two-theta, by angle:
2θ 23.3, I 3
2θ 33.1, I 100
2θ 33.3, I 99
2θ 41.0, I 1
2θ 47.6, I 37
2θ 58.9, I 19
2θ 59.4, I 38
2θ 59.5, I 19
2θ 69.4, I 12
2θ 69.9, I 12